Starting from a crystal structure in Alexandria, relaxed with GGA-PBE, the X-ray diffraction stick pattern of RbTlInBr4 was simulated for Cu Kα (λ = 1.5418 Å).

Main lines, by intensity (2θ from 5° to 70°):
2θ 31.71, I = 1000; 2θ 22.28, I = 734; 2θ 44.95, I = 573; 2θ 30.48, I = 563; 2θ 22.04, I = 418; 2θ 24.57, I = 409; 2θ 31.02, I = 404; 2θ 45.46, I = 364; 2θ 10.23, I = 344; 2θ 30.31, I = 340

```
RbTlInBr4
1.0
5.643 0.000 0.000
0.000 5.643 0.000
0.000 0.000 17.297
Rb Tl In Br
2 2 2 8
Direct
0.000 0.000 0.000 Rb
0.500 0.500 0.500 Rb
0.000 0.000 0.714 Tl
0.500 0.500 0.214 Tl
0.000 0.000 0.359 In
0.500 0.500 0.859 In
0.000 0.000 0.195 Br
0.000 0.000 0.536 Br
0.000 0.500 0.364 Br
0.000 0.500 0.864 Br
0.500 0.000 0.364 Br
0.500 0.000 0.864 Br
0.500 0.500 0.036 Br
0.500 0.500 0.695 Br
```

---

Starting from a crystal structure in Alexandria, relaxed with GGA-PBE, the X-ray diffraction stick pattern of LiPmBe17 was simulated for Cu Kα (λ = 1.5418 Å).

Main lines, by intensity (2θ from 5° to 70°):
2θ 15.53, I = 1000; 2θ 20.81, I = 569; 2θ 33.59, I = 399; 2θ 23.17, I = 362; 2θ 28.02, I = 295; 2θ 36.67, I = 289; 2θ 39.34, I = 237; 2θ 47.81, I = 237; 2θ 31.35, I = 221; 2θ 34.95, I = 169

```
LiPmBe17
1.0
3.838 2.216 3.711
-3.838 2.216 3.711
0.000 -4.432 3.711
Li Pm Be
1 1 17
Direct
0.000 0.000 0.000 Li
0.316 0.316 0.316 Pm
0.167 0.655 0.655 Be
0.322 0.322 0.817 Be
0.322 0.817 0.322 Be
0.377 0.666 0.943 Be
0.377 0.943 0.666 Be
0.521 0.997 0.997 Be
0.566 0.566 0.566 Be
0.655 0.167 0.655 Be
0.655 0.655 0.167 Be
0.666 0.377 0.943 Be
0.666 0.943 0.377 Be
0.758 0.758 0.758 Be
0.817 0.322 0.322 Be
0.943 0.377 0.666 Be
0.943 0.666 0.377 Be
0.997 0.521 0.997 Be
0.997 0.997 0.521 Be
```

---

Starting from a crystal structure in Alexandria, relaxed with GGA-PBE, the X-ray diffraction stick pattern of Rb2TeSe6 was simulated for Cu Kα (λ = 1.5418 Å).

Main lines, by intensity (2θ from 5° to 70°):
2θ 29.59, I = 1000; 2θ 13.80, I = 754; 2θ 24.74, I = 619; 2θ 31.58, I = 617; 2θ 25.94, I = 515; 2θ 35.05, I = 411; 2θ 37.44, I = 350; 2θ 34.36, I = 313; 2θ 32.95, I = 300; 2θ 42.68, I = 286

```
Rb2TeSe6
1.0
10.797 -3.361 0.000
10.797 3.361 0.000
-0.077 0.000 8.969
Rb Te Se
4 2 12
Direct
0.064 0.269 0.408 Rb
0.269 0.064 0.908 Rb
0.731 0.936 0.092 Rb
0.936 0.731 0.592 Rb
0.493 0.507 0.750 Te
0.507 0.493 0.250 Te
0.200 0.403 0.157 Se
0.211 0.731 0.048 Se
0.269 0.477 0.956 Se
0.269 0.789 0.452 Se
0.403 0.200 0.657 Se
0.477 0.269 0.456 Se
0.523 0.731 0.544 Se
0.597 0.800 0.343 Se
0.731 0.211 0.548 Se
0.731 0.523 0.044 Se
0.789 0.269 0.952 Se
0.800 0.597 0.843 Se
```